Structure and calculated PXRD pattern of FeS2 (the GGA-PBE geometry in the Materials Project; CuKα).
Lines closer than 0.1° are merged.

Top 12 peaks for 15 to 90 degrees two-theta, most intense first:
h k l	two_theta	intensity
1 3 1	47.50	100
1 2 1	35.36	93
2 1 1	37.60	79
1 1 3	52.73	62
3 1 1	52.15	58
0 2 0	27.38	48
1 0 2	35.18	47
2 1 0	34.00	45
0 1 2	34.41	43
1 2 2	45.14	39
3 2 1	58.02	38
1 2 3	58.56	38

Crystal structure
Cell lengths 5.767, 6.515, 5.688 Å; angles 90.00, 90.00, 90.00 degrees
Sites, in units of the cell vectors:
Fe (0.000, 0.104, 0.250)
Fe (0.000, 0.896, 0.750)
Fe (0.500, 0.104, 0.750)
Fe (0.500, 0.896, 0.250)
S (0.135, 0.226, 0.611)
S (0.135, 0.774, 0.111)
S (0.365, 0.226, 0.111)
S (0.365, 0.774, 0.611)
S (0.635, 0.226, 0.389)
S (0.635, 0.774, 0.889)
S (0.865, 0.226, 0.889)
S (0.865, 0.774, 0.389)